Starting from DFT lattice parameters and positions (GGA+U), the powder X-ray diffraction pattern of V2CdO10 was computed for λ = 1.5418 Å (Cu Kα).

Top 8 peaks for 2θ from 10° to 90°, by angle:
2θ/deg, I/Imax, index
11.4, 100, 1 1 0
15.7, 53, 1 1 -1
18.4, 62, 1 1 1
22.1, 41, 3 1 -1
23.0, 79, 2 2 0
29.1, 29, 3 1 -2
29.8, 28, 1 1 2
32.3, 38, 4 2 0

a = 14.341 Å, b = 9.343 Å, c = 7.251 Å
α = 90.00°, β = 106.24°, γ = 90.00°
Space group Cc (No. 9)
Asymmetric unit:
V  0.000  0.006  0.000 [4 per cell]
V  0.314  0.480  0.650 [4 per cell]
Cd  0.157  0.252  0.828 [4 per cell]
O  0.022  0.482  0.704 [4 per cell]
O  0.023  0.398  0.276 [4 per cell]
O  0.065  0.144  0.576 [4 per cell]
O  0.075  0.145  0.004 [4 per cell]
O  0.233  0.387  0.068 [4 per cell]
O  0.256  0.326  0.661 [4 per cell]
O  0.266  0.024  0.416 [4 per cell]
O  0.321  0.088  0.342 [4 per cell]
O  0.355  0.466  0.416 [4 per cell]
O  0.460  0.465  0.731 [4 per cell]